Li4VFe3O8: theoretical powder diffractogram (copper Kα), based on a DFT-relaxed cell (GGA+U, the Materials Project).
No peak broadening, texture or thermal motion is included.

Structure:
abc: 5.082 5.678 6.565
angles: 89.21 89.66 90.00
Atoms (fractional coordinates):
Li (0.000, 0.000, 0.000)
Li (0.004, 0.488, 0.745)
Li (0.492, 0.155, 0.253)
Li (0.496, 0.667, 0.497)
V (0.504, 0.667, 0.995)
Fe (0.001, 0.491, 0.254)
Fe (0.498, 0.159, 0.746)
Fe (0.986, 0.992, 0.499)
O (0.092, 0.146, 0.736)
O (0.102, 0.169, 0.257)
O (0.102, 0.663, 0.488)
O (0.133, 0.649, 0.011)
O (0.595, 0.972, 0.010)
O (0.600, 0.504, 0.775)
O (0.613, 0.994, 0.497)
O (0.620, 0.504, 0.230)

Main lines, in order of rising 2θ (2θ = 5–70°):
Position (°2θ)	intensity	h k l
20.54	80	0 1 1
20.83	77	0 1 -1
22.06	96	1 0 1
22.19	88	1 0 -1
31.29	51	0 1 2
31.52	54	0 2 0
31.68	62	0 1 -2
35.32	100	2 0 0
36.27	67	1 -2 0
48.06	39	2 -2 0
56.03	40	0 0 4
63.99	37	3 2 0